Record 1
Starting from a crystal structure in Alexandria, relaxed with PBE, the X-ray diffraction stick pattern of KNa2MoBr8 was simulated for Cu Kα (weighted mean of Kα1 and Kα2).
No peak broadening, texture or thermal motion is included.

Unit cell a=6.3050 b=6.7205 c=9.4753 alpha=90.03 beta=90.14 gamma=93.62
Space group P-1 (No. 2)
Symmetry-distinct sites (fractional):
K: 0.0000 0.0000 0.0000 (multiplicity 1)
Na: 0.4993 0.5000 0.7363 (multiplicity 2)
Mo: 0.0000 0.0000 0.5000 (multiplicity 1)
Br: 0.2263 0.3290 0.4994 (multiplicity 2)
Br: 0.2344 0.8656 0.3082 (multiplicity 2)
Br: 0.2359 0.8675 0.6924 (multiplicity 2)
Br: 0.2459 0.4795 0.0000 (multiplicity 2)

Main lines, in order of falling intensity (10° ≤ 2θ ≤ 90°):
two_theta	I (rel.)	h k l
36.13	100.0	2 -1 2
26.60	98.6	-1 1 2
16.19	79.1	0 1 -1
31.00	58.5	1 2 0
37.49	52.9	2 1 2
28.37	45.5	2 0 0
49.99	44.1	0 3 -3
19.95	39.7	1 1 0
27.50	38.9	1 1 2
29.38	36.3	1 -2 0

Record 2
Starting from a crystal structure in Alexandria, relaxed with PBE, the X-ray diffraction stick pattern of Rb2NbBr2Cl4 was simulated for Cu Kα (weighted mean of Kα1 and Kα2).
No peak broadening, texture or thermal motion is included.

Unit cell a=7.3945 b=7.3945 c=10.7102 alpha=90.00 beta=90.00 gamma=90.00
Space group I4/mmm (No. 139)
Symmetry-distinct sites (fractional):
Rb: 0.0000 0.5000 0.2500 (multiplicity 4)
Nb: 0.0000 0.0000 0.0000 (multiplicity 2)
Br: 0.0000 0.0000 0.2446 (multiplicity 4)
Cl: 0.2324 0.2324 0.0000 (multiplicity 8)

Main lines, in order of falling intensity (10° ≤ 2θ ≤ 90°):
two_theta	I (rel.)	h k l
29.36	100.0	2 0 2
34.30	71.9	2 2 0
14.56	52.3	1 0 1
48.68	50.3	2 2 4
24.07	46.3	2 0 0
33.47	39.3	0 0 4
60.90	24.5	4 0 4
49.29	23.8	4 0 0
58.41	23.4	4 2 2
41.65	22.5	2 0 4

Record 3
Starting from a crystal structure in Alexandria, relaxed with PBE, the X-ray diffraction stick pattern of Be13Co2 was simulated for Cu Kα (weighted mean of Kα1 and Kα2).
No peak broadening, texture or thermal motion is included.

Unit cell a=5.8172 b=5.8172 c=15.6855 alpha=90.00 beta=90.00 gamma=120.00
Space group R-3m (No. 166, hexagonal axes)
Symmetry-distinct sites (fractional):
Be: 0.0000 0.0000 0.0000 (multiplicity 3)
Be: 0.0852 0.5426 0.3127 (multiplicity 18)
Be: 0.0907 0.5454 0.5569 (multiplicity 18)
Co: 0.0000 0.0000 0.2354 (multiplicity 6)

Main lines, in order of falling intensity (10° ≤ 2θ ≤ 90°):
two_theta	I (rel.)	h k l
20.96	100.0	0 1 2
30.74	41.4	1 1 0
28.85	28.6	1 0 4
53.50	26.9	2 1 4
37.50	21.5	2 0 2
49.24	18.8	1 2 2
46.72	17.0	1 1 6
42.66	16.2	0 2 4
49.91	10.7	0 1 8
18.50	10.2	1 0 1